Diffraction record for ZrTePRu2. The powder diffraction line list is simulated, not measured: it uses a DFT-relaxed cell (GGA-PBE, Alexandria) and Cu Kα (weighted mean of Kα1 and Kα2).

a = 4.819 Å, b = 4.819 Å, c = 5.480 Å
α = 90.00°, β = 90.00°, γ = 90.00°
Space group P4/mmm (No. 123)
Unique sites:
Zr: 0.000 0.000 0.000 x1
Te: 0.000 0.000 0.500 x1
P: 0.500 0.500 0.500 x1
Ru: 0.000 0.500 0.000 x2

Top 10 peaks for 15° ≤ 2θ ≤ 90°, sorted by position:
- 5.480 Å, 2θ = 16.17°, I 35.7
- 4.819 Å, 2θ = 18.41°, I 85.5
- 2.894 Å, 2θ = 30.90°, I 100.0
- 2.740 Å, 2θ = 32.68°, I 61.8
- 2.409 Å, 2θ = 37.32°, I 85.5
- 2.382 Å, 2θ = 37.77°, I 27.9
- 1.809 Å, 2θ = 50.44°, I 70.7
- 1.704 Å, 2θ = 53.81°, I 29.0
- 1.468 Å, 2θ = 63.35°, I 24.6
- 1.447 Å, 2θ = 64.40°, I 33.3